For LaSmAl4Ni2, a structure optimized by DFT (PBE) gives the computed XRD peak list in this record (λ = 1.5418 Å (Cu Kα)).
Kinematic intensities with the Lorentz-polarization factor, no thermal factor.

Atomic structure:
a = 6.942 Å, b = 4.071 Å, c = 10.904 Å
α = 90.00°, β = 90.00°, γ = 90.00°
Fractional positions:
La  0.000  0.000  0.000
La  0.000  0.500  0.500
Sm  0.500  0.000  0.893
Sm  0.500  0.500  0.393
Al  0.195  0.000  0.278
Al  0.195  0.500  0.778
Al  0.309  0.000  0.616
Al  0.309  0.500  0.116
Al  0.691  0.000  0.616
Al  0.691  0.500  0.116
Al  0.805  0.000  0.278
Al  0.805  0.500  0.778
Ni  0.000  0.000  0.727
Ni  0.000  0.500  0.227
Ni  0.500  0.000  0.165
Ni  0.500  0.500  0.665

Peak list (10 most intense, 10° ≤ 2θ ≤ 90°, sorted by position)
- 23.32 deg, rel. 70
- 25.66 deg, rel. 53
- 33.04 deg, rel. 18
- 34.95 deg, rel. 96
- 35.38 deg, rel. 68
- 35.55 deg, rel. 100
- 44.51 deg, rel. 30
- 51.96 deg, rel. 37
- 58.09 deg, rel. 32
- 58.42 deg, rel. 16


For La5Al3Pd2, a structure optimized by DFT (PBE) gives the computed XRD peak list in this record (λ = 1.5418 Å (Cu Kα)).
Kinematic intensities with the Lorentz-polarization factor, no thermal factor.

Atomic structure:
a = 8.029 Å, b = 8.029 Å, c = 10.500 Å
α = 90.00°, β = 90.00°, γ = 52.41°
Fractional positions:
La  0.029  0.538  0.250
La  0.122  0.878  0.750
La  0.369  0.369  0.000
La  0.369  0.369  0.500
La  0.462  0.971  0.250
La  0.538  0.029  0.750
La  0.631  0.631  0.000
La  0.631  0.631  0.500
La  0.878  0.122  0.250
La  0.971  0.462  0.750
Al  0.151  0.151  0.000
Al  0.151  0.151  0.500
Al  0.405  0.595  0.250
Al  0.595  0.405  0.750
Al  0.849  0.849  0.000
Al  0.849  0.849  0.500
Pd  0.180  0.820  0.063
Pd  0.180  0.820  0.437
Pd  0.820  0.180  0.563
Pd  0.820  0.180  0.937

Peak list (10 most intense, 10° ≤ 2θ ≤ 90°, sorted by position)
- 21.95 deg, rel. 26
- 22.36 deg, rel. 48
- 30.09 deg, rel. 56
- 30.42 deg, rel. 50
- 32.92 deg, rel. 54
- 34.14 deg, rel. 100
- 35.53 deg, rel. 53
- 38.23 deg, rel. 25
- 50.11 deg, rel. 23
- 53.22 deg, rel. 35


For Li2Mg2Al2NiPt, a structure optimized by DFT (PBE) gives the computed XRD peak list in this record (λ = 1.5418 Å (Cu Kα)).
Kinematic intensities with the Lorentz-polarization factor, no thermal factor.

Atomic structure:
a = 4.356 Å, b = 4.356 Å, c = 6.138 Å
α = 90.00°, β = 90.00°, γ = 90.00°
Fractional positions:
Li  0.000  0.000  0.000
Li  0.500  0.500  0.500
Mg  0.000  0.500  0.240
Mg  0.500  0.000  0.760
Al  0.000  0.500  0.756
Al  0.500  0.000  0.244
Ni  0.500  0.500  0.000
Pt  0.000  0.000  0.500

Peak list (10 most intense, 10° ≤ 2θ ≤ 90°, sorted by position)
- 14.43 deg, rel. 20
- 20.39 deg, rel. 21
- 25.07 deg, rel. 100
- 28.99 deg, rel. 15
- 32.53 deg, rel. 14
- 41.51 deg, rel. 90
- 49.07 deg, rel. 33
- 49.20 deg, rel. 16
- 66.25 deg, rel. 13
- 75.68 deg, rel. 20


For Li2MgZrAl2Pt2, a structure optimized by DFT (PBE) gives the computed XRD peak list in this record (λ = 1.5418 Å (Cu Kα)).
Kinematic intensities with the Lorentz-polarization factor, no thermal factor.

Atomic structure:
a = 4.287 Å, b = 4.287 Å, c = 6.691 Å
α = 90.00°, β = 90.00°, γ = 90.00°
Fractional positions:
Li  0.000  0.500  0.235
Li  0.500  0.000  0.765
Mg  0.500  0.500  0.000
Zr  0.000  0.000  0.500
Al  0.000  0.500  0.762
Al  0.500  0.000  0.238
Pt  0.000  0.000  0.000
Pt  0.500  0.500  0.500

Peak list (10 most intense, 10° ≤ 2θ ≤ 90°, sorted by position)
- 24.66 deg, rel. 78
- 26.65 deg, rel. 44
- 29.47 deg, rel. 68
- 40.14 deg, rel. 100
- 42.16 deg, rel. 44
- 49.45 deg, rel. 25
- 50.57 deg, rel. 31
- 63.53 deg, rel. 16
- 71.55 deg, rel. 18
- 75.70 deg, rel. 31


For Sr4Li2Ta2Al2N8O, a structure optimized by DFT (PBE) gives the computed XRD peak list in this record (λ = 1.5418 Å (Cu Kα)).
Kinematic intensities with the Lorentz-polarization factor, no thermal factor.

Atomic structure:
a = 6.001 Å, b = 10.006 Å, c = 10.759 Å
α = 90.00°, β = 119.86°, γ = 90.00°
Fractional positions:
Sr  0.066  0.241  0.074
Sr  0.066  0.259  0.574
Sr  0.268  0.565  0.799
Sr  0.268  0.935  0.299
Sr  0.732  0.065  0.701
Sr  0.732  0.435  0.201
Sr  0.934  0.741  0.426
Sr  0.934  0.759  0.926
Li  0.313  0.010  0.006
Li  0.313  0.490  0.506
Li  0.687  0.510  0.494
Li  0.687  0.990  0.994
Ta  0.272  0.597  0.236
Ta  0.272  0.903  0.736
Ta  0.728  0.097  0.264
Ta  0.728  0.403  0.764
Al  0.389  0.247  0.905
Al  0.389  0.253  0.405
Al  0.611  0.747  0.595
Al  0.611  0.753  0.095
N  0.072  0.166  0.332
N  0.072  0.334  0.832
N  0.324  0.089  0.797
N  0.324  0.411  0.297
N  0.375  0.629  0.092
N  0.375  0.871  0.592
N  0.496  0.696  0.408
N  0.496  0.804  0.908
N  0.504  0.196  0.092
N  0.504  0.304  0.592
N  0.625  0.129  0.408
N  0.625  0.371  0.908
N  0.676  0.589  0.703
N  0.676  0.911  0.203
N  0.928  0.666  0.168
N  0.928  0.834  0.668
O  0.000  0.000  0.000
O  0.000  0.500  0.500

Peak list (10 most intense, 10° ≤ 2θ ≤ 90°, sorted by position)
- 19.02 deg, rel. 63
- 20.16 deg, rel. 70
- 26.12 deg, rel. 51
- 29.85 deg, rel. 84
- 31.87 deg, rel. 100
- 32.50 deg, rel. 75
- 32.77 deg, rel. 49
- 34.59 deg, rel. 43
- 39.02 deg, rel. 26
- 40.94 deg, rel. 27


For Li4NbAlO6, a structure optimized by DFT (PBE) gives the computed XRD peak list in this record (λ = 1.5418 Å (Cu Kα)).
Kinematic intensities with the Lorentz-polarization factor, no thermal factor.

Atomic structure:
a = 5.074 Å, b = 5.074 Å, c = 5.097 Å
α = 99.64°, β = 99.64°, γ = 119.95°
Fractional positions:
Li  0.000  0.000  0.000
Li  0.161  0.839  0.500
Li  0.488  0.512  0.500
Li  0.845  0.155  0.500
Nb  0.667  0.333  0.000
Al  0.332  0.668  0.000
O  0.088  0.439  0.226
O  0.273  0.285  0.769
O  0.426  0.065  0.229
O  0.561  0.912  0.774
O  0.715  0.727  0.231
O  0.935  0.574  0.771

Peak list (10 most intense, 10° ≤ 2θ ≤ 90°, sorted by position)
- 18.47 deg, rel. 100
- 20.22 deg, rel. 35
- 21.14 deg, rel. 62
- 23.68 deg, rel. 47
- 27.52 deg, rel. 33
- 32.16 deg, rel. 20
- 35.94 deg, rel. 39
- 43.56 deg, rel. 35
- 43.67 deg, rel. 69
- 63.45 deg, rel. 29